Computed powder diffractogram
Compound: PaAgHg2I6
Radiation: λ = 1.5418 Å (Cu Kα)
Structure: the GGA-PBE geometry in Alexandria

Structure:
```
data_PaAgHg2I6
_cell_length_a 8.6950
_cell_length_b 8.6950
_cell_length_c 7.1466
_cell_angle_alpha 90.00
_cell_angle_beta 90.00
_cell_angle_gamma 120.00
_symmetry_space_group_name_H-M 'P -3 m 1'
_symmetry_Int_Tables_number 164
_symmetry_space_group_name_Hall '-P 3 2"'
loop_
_atom_site_label
_atom_site_type_symbol
_atom_site_fract_x
_atom_site_fract_y
_atom_site_fract_z
_atom_site_occupancy
Pa1 Pa 0.0000 0.0000 0.0000 1
Ag1 Ag 0.0000 0.0000 0.5000 1
Hg1 Hg 0.3333 0.6667 0.2531 1
I1 I 0.1603 0.3206 0.7601 1
```

Principal peaks in the range 2θ = 10–80°, by intensity:
- (2 0 1), 3.331 Å, rel. 100
- (2 0 2), 2.592 Å, rel. 43
- (2 2 0), 2.174 Å, rel. 34
- (1 0 0), 7.530 Å, rel. 31
- (0 2 3), 2.013 Å, rel. 24
- (1 1 0), 4.347 Å, rel. 22
- (0 4 1), 1.820 Å, rel. 17
- (2 1 2), 2.226 Å, rel. 16
- (2 2 4), 1.380 Å, rel. 15
- (4 2 1), 1.396 Å, rel. 14